For Ca4Zn3FeSi8O24, a GGA+U-relaxed structure gives the calculated PXRD pattern in this record (CuKα).

Crystal structure
Cell: 5.3187 6.7554 13.4739 Å, 90.56 101.15 101.62°
Fractional coordinates of all 40 atoms:
Ca  0.0000  0.0000  0.0000
Ca  0.2014  0.4030  0.7014
Ca  0.5005  0.0000  0.4997
Ca  0.7014  0.4026  0.2014
Zn  0.3033  0.6069  0.3036
Zn  0.3981  0.7962  0.8981
Zn  0.8033  0.6068  0.8034
Fe  0.8978  0.7952  0.3979
Si  0.0605  0.5076  0.0401
Si  0.1412  0.8957  0.6617
Si  0.2340  0.0809  0.2536
Si  0.4680  0.3227  0.9477
Si  0.5599  0.5070  0.5403
Si  0.6408  0.8956  0.1611
Si  0.7335  0.0804  0.7538
Si  0.9681  0.3230  0.4477
O  0.0588  0.6739  0.9538
O  0.0821  0.5871  0.1549
O  0.1186  0.8166  0.5468
O  0.1426  0.7290  0.7477
O  0.2341  0.9085  0.3364
O  0.2721  0.3332  0.5164
O  0.2908  0.3704  0.0347
O  0.3351  0.0933  0.9079
O  0.3665  0.3101  0.2934
O  0.4108  0.0326  0.1666
O  0.4291  0.0695  0.6852
O  0.4695  0.4953  0.8645
O  0.5564  0.6731  0.4545
O  0.5821  0.5871  0.6550
O  0.6193  0.8159  0.0465
O  0.6432  0.7290  0.2473
O  0.7319  0.9077  0.8369
O  0.7724  0.3335  0.0163
O  0.7909  0.3707  0.5348
O  0.8354  0.0943  0.4083
O  0.8663  0.3097  0.7935
O  0.9106  0.0326  0.6668
O  0.9291  0.0694  0.1852
O  0.9692  0.4941  0.3641

Top 10 peaks for 10 to 90 degrees two-theta, sorted by position:
2θ (°), I (rel.), h k l
13.4, 33, 0 0 2
29.3, 100, 1 0 3
29.6, 40, 0 2 -2
34.3, 37, -1 2 3
35.0, 47, 1 2 -1
35.1, 43, 2 0 -2
41.5, 26, 1 0 5
51.0, 18, 0 2 6
55.4, 16, 1 -1 7
64.1, 18, 1 4 -3